Theoretical powder X-ray diffraction pattern
Compound: LiHf2O4
Radiation: copper Kα
Structure: a cell relaxed with GGA-PBE

Principal peaks in the range 5° ≤ 2θ ≤ 70°, in order of rising 2θ:
2theta	I (rel.)
17.0	754
19.5	582
29.9	502
31.2	1000
35.5	245
39.3	316
39.8	362
43.1	227
47.5	275
60.6	209

Cell and atoms:
Cell lengths 5.2988, 5.2988, 10.4201 Å; angles 90.00, 90.00, 145.66 degrees
Atoms (fractional coordinates):
Li1 0.1025 0.8975 0.7500
Li2 0.8975 0.1025 0.2500
Hf1 0.3718 0.6282 0.5736
Hf2 0.3718 0.6282 0.9264
Hf3 0.6282 0.3718 0.0736
Hf4 0.6282 0.3718 0.4264
O1 0.0000 0.0000 0.0000
O2 0.0000 0.0000 0.5000
O3 0.2688 0.7312 0.1075
O4 0.2688 0.7312 0.3925
O5 0.4580 0.5420 0.7500
O6 0.5420 0.4580 0.2500
O7 0.7312 0.2688 0.6075
O8 0.7312 0.2688 0.8925